Theoretical powder XRD pattern of Th2InPdRh5 for copper Kα, from a crystal structure in Alexandria, relaxed with PBE.
No peak broadening, texture or thermal motion is included.

Main lines, sorted by position (2θ = 10–90°):
Position (°2θ), I_rel
30.28, 40
33.96, 42
34.92, 100
38.06, 26
40.25, 32
46.76, 21
49.36, 25
52.03, 21

Structural model:
```
18
Lattice="-4.174 4.174 5.311 4.174 -4.174 5.311 4.174 4.174 -5.311" Properties=species:S:1:pos:R:3 pbc="T T T"
Th 5.342 1.167 0.000
Th 1.167 3.007 0.000
Th 3.007 1.167 5.311
Th -1.167 3.007 5.311
In 0.000 0.000 2.656
In 0.000 0.000 7.967
Pd 4.174 0.000 2.656
Pd 0.000 4.174 2.656
Rh 0.000 0.000 0.000
Rh 2.570 1.605 -1.465
Rh 2.570 -1.605 3.846
Rh 2.570 1.605 1.465
Rh 2.570 -1.605 6.776
Rh 0.000 0.000 5.311
Rh 1.605 5.779 -1.465
Rh 1.605 2.570 3.846
Rh 1.605 5.779 1.465
Rh 1.605 2.570 6.776
```